This entry pairs a crystal structure of HoHfZn2In with its computed X-ray diffraction stick pattern. Radiation: CuKα. Structure: a cell relaxed with GGA-PBE.

Atomic structure:
```
data_HoHfZn2In
_chemical_formula_sum 'Ho2 Hf2 Zn4 In2'
_space_group_name_H-M_alt 'A m m 2'
_space_group_IT_number 38
_space_group_name_Hall 'A 2 -2'
_cell_length_a 3.2792
_cell_length_b 4.3766
_cell_length_c 14.1147
_cell_angle_alpha 90.00
_cell_angle_beta 90.00
_cell_angle_gamma 90.00
loop_
_atom_site_label
_atom_site_type_symbol
_atom_site_fract_x
_atom_site_fract_y
_atom_site_fract_z
_atom_site_occupancy
Ho1 Ho 0.0000 0.0000 0.0000 1
Hf1 Hf 0.0000 0.0000 0.2454 1
Zn1 Zn 0.5000 0.0000 0.4128 1
Zn2 Zn 0.5000 0.0000 0.8195 1
In1 In 0.5000 0.0000 0.6255 1
```

Peak list (10 most intense, 10° ≤ 2θ ≤ 80°, by intensity)
- 2θ = 34.77°, I = 100
- 2θ = 37.44°, I = 66
- 2θ = 37.93°, I = 64
- 2θ = 56.92°, I = 39
- 2θ = 41.25°, I = 35
- 2θ = 27.84°, I = 31
- 2θ = 39.31°, I = 22
- 2θ = 69.72°, I = 21
- 2θ = 69.87°, I = 17
- 2θ = 56.09°, I = 14